Starting from a crystal structure in Alexandria, relaxed with PBE+U, the powder XRD pattern of K2AcVF8 was calculated for CuKα.
Intensities are scaled so that the largest is 100.

Most intense lines, 2θ = 10–90°, sorted by position:
hkl 0 1 0, d = 7.591 Å, I 49.5
hkl 0 0 1, d = 6.110 Å, I 100.0
hkl 0 1 1, d = 4.760 Å, I 54.0
hkl 1 0 0, d = 4.354 Å, I 29.4
hkl 1 0 -1, d = 3.707 Å, I 70.5
hkl 1 0 1, d = 3.404 Å, I 62.8
hkl 0 2 1, d = 3.224 Å, I 98.5
hkl 1 2 0, d = 2.861 Å, I 27.1
hkl 1 2 -2, d = 2.153 Å, I 62.4
hkl 1 2 2, d = 2.030 Å, I 52.8

Cell and atoms:
Lattice parameters (Å, degrees): 4.3719 7.5911 6.1343 90.00 95.15 90.00
Atoms (fractional coordinates):
K (0.0000, 0.2270, 0.0000)
K (0.0000, 0.7730, 0.0000)
Ac (0.5000, 0.5000, 0.5000)
V (0.5000, 0.0000, 0.5000)
F (0.0039, 0.5000, 0.2746)
F (0.1214, 0.0000, 0.3136)
F (0.4236, 0.2132, 0.6995)
F (0.4236, 0.7868, 0.6995)
F (0.5764, 0.2132, 0.3005)
F (0.5764, 0.7868, 0.3005)
F (0.8786, 0.0000, 0.6864)
F (0.9961, 0.5000, 0.7254)